# TbTm7Sc3
Calculated powder XRD pattern, λ = 1.5418 Å (Cu Kα). Input: a structure optimized by DFT (GGA-PBE).
Kinematic intensities with the Lorentz-polarization factor, no thermal factor.

Cell lengths 5.622, 10.541, 10.966 Å; angles 90.00, 90.00, 90.00 degrees
Space group Immm (No. 71)
One atom of each set of equivalent atoms:
Tb  0.000  0.000  0.000 x2
Tm  0.000  0.193  0.298 x8
Tm  0.000  0.304  0.000 x4
Tm  0.000  0.500  0.500 x2
Sc  0.000  0.000  0.500 x2
Sc  0.000  0.500  0.212 x4

Principal peaks in the range 2θ from 10° to 80°, low angle first:
| hkl | d/Å | two_theta | I/Imax |
| --- | --- | --- | --- |
| 0 2 2 | 3.800 | 23.4 | 33.6 |
| 0 3 1 | 3.346 | 26.6 | 63.2 |
| 1 0 3 | 3.065 | 29.1 | 54.5 |
| 2 0 0 | 2.811 | 31.8 | 83.6 |
| 0 0 4 | 2.742 | 32.7 | 36.0 |
| 1 2 3 | 2.649 | 33.8 | 79.5 |
| 1 3 2 | 2.618 | 34.3 | 100.0 |
| 2 3 1 | 2.152 | 42.0 | 38.2 |
| 0 3 5 | 1.859 | 49.0 | 54.8 |
| 2 3 5 | 1.551 | 59.6 | 33.3 |

---

# Tb2Pm2Dy15
Calculated powder XRD pattern, λ = 1.5418 Å (Cu Kα). Input: a structure optimized by DFT (GGA-PBE).
Kinematic intensities with the Lorentz-polarization factor, no thermal factor.

Cell lengths 11.1775, 11.1775, 17.6079 Å; angles 90.00, 90.00, 120.00 degrees
Space group R-3m (No. 166, hexagonal axes)
One atom of each set of equivalent atoms:
Tb  0.0000  0.0000  0.0953 x6
Pm  0.0000  0.0000  0.3253 x6
Dy  0.0000  0.2981  0.0000 x18
Dy  0.0000  0.5000  0.5000 x9
Dy  0.0133  0.5066  0.1363 x18

Principal peaks in the range 2θ from 10° to 80°, low angle first:
| hkl | d/Å | two_theta | I/Imax |
| --- | --- | --- | --- |
| 0 2 4 | 3.257 | 27.4 | 30.9 |
| 3 0 0 | 3.227 | 27.6 | 29.1 |
| 0 0 6 | 2.935 | 30.5 | 28.2 |
| 2 0 5 | 2.848 | 31.4 | 59.8 |
| 0 3 3 | 2.828 | 31.6 | 100.0 |
| 2 2 0 | 2.794 | 32.0 | 57.7 |
| 1 1 6 | 2.598 | 34.5 | 20.2 |
| 2 2 3 | 2.523 | 35.6 | 71.5 |
| 0 3 9 | 1.673 | 54.9 | 19.1 |
| 6 0 0 | 1.613 | 57.1 | 26.1 |

---

# Sm6Sn3Pt
Calculated powder XRD pattern, λ = 1.5418 Å (Cu Kα). Input: a structure optimized by DFT (GGA-PBE).
Kinematic intensities with the Lorentz-polarization factor, no thermal factor.

Cell lengths 6.294, 8.835, 12.538 Å; angles 90.00, 118.72, 90.00 degrees
Space group P2_1/c (No. 14)
One atom of each set of equivalent atoms:
Sm  0.058  0.163  0.439 x4
Sm  0.336  0.688  0.439 x4
Sm  0.396  0.047  0.262 x4
Sn  0.000  0.000  0.000 x2
Sn  0.164  0.116  0.759 x4
Pt  0.500  0.000  0.500 x2

Principal peaks in the range 2θ from 10° to 80°, low angle first:
| hkl | d/Å | two_theta | I/Imax |
| --- | --- | --- | --- |
| 1 2 0 | 3.447 | 25.8 | 23.8 |
| 1 2 1 | 3.040 | 29.4 | 29.7 |
| 1 1 2 | 3.006 | 29.7 | 79.1 |
| 2 1 -2 | 2.964 | 30.2 | 28.1 |
| 1 1 -4 | 2.954 | 30.3 | 42.6 |
| 2 1 -1 | 2.878 | 31.1 | 44.3 |
| 2 1 -3 | 2.845 | 31.4 | 31.5 |
| 0 2 3 | 2.821 | 31.7 | 30.9 |
| 0 0 4 | 2.749 | 32.6 | 40.0 |
| 1 3 -1 | 2.667 | 33.6 | 100.0 |

---

# Ac2HoSn3Pd6
Calculated powder XRD pattern, λ = 1.5418 Å (Cu Kα). Input: a structure optimized by DFT (GGA-PBE).
Kinematic intensities with the Lorentz-polarization factor, no thermal factor.

Cell lengths 4.263, 4.263, 17.356 Å; angles 90.00, 90.00, 90.00 degrees
Space group P4/mmm (No. 123)
One atom of each set of equivalent atoms:
Ac  0.000  0.000  0.185 x2
Ho  0.000  0.000  0.500 x1
Sn  0.500  0.500  0.000 x1
Sn  0.500  0.500  0.301 x2
Pd  0.000  0.500  0.391 x4
Pd  0.500  0.500  0.147 x2

Principal peaks in the range 2θ from 10° to 80°, low angle first:
| hkl | d/Å | two_theta | I/Imax |
| --- | --- | --- | --- |
| 1 0 3 | 3.432 | 26.0 | 100.0 |
| 1 1 0 | 3.014 | 29.6 | 42.1 |
| 1 1 1 | 2.970 | 30.1 | 39.9 |
| 1 1 3 | 2.673 | 33.5 | 46.9 |
| 1 1 4 | 2.476 | 36.3 | 27.0 |
| 1 0 7 | 2.143 | 42.2 | 39.1 |
| 2 0 0 | 2.131 | 42.4 | 75.1 |
| 1 1 6 | 2.087 | 43.4 | 67.2 |
| 2 1 3 | 1.811 | 50.4 | 34.6 |
| 2 1 7 | 1.511 | 61.3 | 26.1 |

---

# V2Co9Mo
Calculated powder XRD pattern, λ = 1.5418 Å (Cu Kα). Input: a structure optimized by DFT (GGA-PBE).
Kinematic intensities with the Lorentz-polarization factor, no thermal factor.

Cell lengths 5.0284, 5.0284, 18.2658 Å; angles 90.00, 90.00, 120.00 degrees
Space group R3m (No. 160, hexagonal axes)
One atom of each set of equivalent atoms:
V  0.0000  0.0000  0.0000 x3
V  0.0000  0.0000  0.2175 x3
Co  0.0030  0.5015  0.9987 x9
Co  0.0098  0.5049  0.2231 x9
Co  0.1711  0.3423  0.1103 x9
Mo  0.0000  0.0000  0.7802 x3

Principal peaks in the range 2θ from 10° to 80°, low angle first:
| hkl | d/Å | two_theta | I/Imax |
| --- | --- | --- | --- |
| 1 0 1 | 4.236 | 21.0 | 4.6 |
| 0 2 1 | 2.162 | 41.8 | 37.4 |
| 2 0 2 | 2.118 | 42.7 | 20.3 |
| 0 0 9 | 2.030 | 44.6 | 52.8 |
| 0 2 4 | 1.965 | 46.2 | 100.0 |
| 2 0 5 | 1.870 | 48.7 | 86.5 |
| 0 2 7 | 1.672 | 54.9 | 9.3 |
| 2 0 8 | 1.576 | 58.6 | 11.9 |
| 0 2 10 | 1.399 | 66.9 | 8.8 |
| 2 2 0 | 1.257 | 75.7 | 29.3 |

---

# Al3Zn4Tc2
Calculated powder XRD pattern, λ = 1.5418 Å (Cu Kα). Input: a structure optimized by DFT (GGA-PBE).
Kinematic intensities with the Lorentz-polarization factor, no thermal factor.

Cell lengths 9.484, 3.486, 8.424 Å; angles 90.00, 111.73, 90.00 degrees
Space group C2/m (No. 12)
One atom of each set of equivalent atoms:
Al  0.000  0.000  0.000 x2
Al  0.173  0.500  0.556 x4
Zn  0.017  0.000  0.674 x4
Zn  0.176  0.500  0.891 x4
Tc  0.153  0.500  0.224 x4

Principal peaks in the range 2θ from 10° to 80°, low angle first:
| hkl | d/Å | two_theta | I/Imax |
| --- | --- | --- | --- |
| 0 0 2 | 3.913 | 22.7 | 20.8 |
| 2 0 1 | 3.346 | 26.6 | 11.3 |
| 1 1 -1 | 3.151 | 28.3 | 20.2 |
| 3 1 0 | 2.246 | 40.2 | 100.0 |
| 1 1 -3 | 2.183 | 41.4 | 88.6 |
| 4 0 -3 | 2.112 | 42.8 | 37.0 |
| 2 0 3 | 1.950 | 46.6 | 30.0 |
| 0 2 0 | 1.744 | 52.5 | 25.4 |
| 4 2 -3 | 1.344 | 70.0 | 16.2 |
| 2 2 3 | 1.300 | 72.8 | 15.1 |

---

# Li2AgCl
Calculated powder XRD pattern, λ = 1.5418 Å (Cu Kα). Input: a structure optimized by DFT (GGA-PBE).
Kinematic intensities with the Lorentz-polarization factor, no thermal factor.

Cell lengths 3.199, 3.377, 13.681 Å; angles 90.00, 90.00, 90.00 degrees
Space group Imm2 (No. 44)
One atom of each set of equivalent atoms:
Li  0.000  0.000  0.000 x2
Li  0.000  0.500  0.218 x2
Ag  0.000  0.500  0.829 x2
Cl  0.000  0.000  0.572 x2

Principal peaks in the range 2θ from 10° to 80°, low angle first:
| hkl | d/Å | two_theta | I/Imax |
| --- | --- | --- | --- |
| 0 0 2 | 6.840 | 12.9 | 95.0 |
| 0 0 4 | 3.420 | 26.1 | 76.9 |
| 0 1 1 | 3.278 | 27.2 | 86.9 |
| 1 0 1 | 3.115 | 28.7 | 75.7 |
| 0 1 3 | 2.714 | 33.0 | 58.1 |
| 1 0 3 | 2.619 | 34.2 | 53.8 |
| 1 1 2 | 2.199 | 41.0 | 100.0 |
| 0 1 5 | 2.126 | 42.5 | 31.6 |
| 1 0 5 | 2.079 | 43.5 | 26.4 |
| 1 1 6 | 1.627 | 56.6 | 30.4 |

---

# BaHfTc2Br
Calculated powder XRD pattern, λ = 1.5418 Å (Cu Kα). Input: a structure optimized by DFT (GGA-PBE).
Kinematic intensities with the Lorentz-polarization factor, no thermal factor.

Cell lengths 4.933, 4.933, 5.782 Å; angles 90.00, 90.00, 90.00 degrees
Space group P4/mmm (No. 123)
One atom of each set of equivalent atoms:
Ba  0.000  0.000  0.000 x1
Hf  0.500  0.500  0.500 x1
Tc  0.000  0.500  0.500 x2
Br  0.500  0.500  0.000 x1

Principal peaks in the range 2θ from 10° to 80°, low angle first:
| hkl | d/Å | two_theta | I/Imax |
| --- | --- | --- | --- |
| 0 0 1 | 5.782 | 15.3 | 32.4 |
| 1 0 0 | 4.933 | 18.0 | 26.7 |
| 1 0 1 | 3.753 | 23.7 | 87.0 |
| 1 1 1 | 2.987 | 29.9 | 56.7 |
| 0 0 2 | 2.891 | 30.9 | 77.9 |
| 2 0 0 | 2.467 | 36.4 | 100.0 |
| 2 1 1 | 2.061 | 43.9 | 34.6 |
| 2 0 2 | 1.876 | 48.5 | 87.8 |
| 2 2 0 | 1.744 | 52.5 | 34.7 |
| 2 2 2 | 1.493 | 62.2 | 41.5 |

---

# Ag6SF7
Calculated powder XRD pattern, λ = 1.5418 Å (Cu Kα). Input: a structure optimized by DFT (GGA-PBE).
Kinematic intensities with the Lorentz-polarization factor, no thermal factor.

Cell lengths 6.8120, 6.8120, 16.6727 Å; angles 90.00, 90.00, 120.00 degrees
Space group R3 (No. 146, hexagonal axes)
One atom of each set of equivalent atoms:
Ag  0.0005  0.3545  0.0000 x9
Ag  0.0095  0.7054  0.1836 x9
S  0.0000  0.0000  0.2634 x3
F  0.0000  0.0000  0.6137 x3
F  0.0631  0.3523  0.4846 x9
F  0.0691  0.6700  0.7015 x9

Principal peaks in the range 2θ from 10° to 80°, low angle first:
| hkl | d/Å | two_theta | I/Imax |
| --- | --- | --- | --- |
| 1 1 0 | 3.406 | 26.2 | 34.4 |
| 2 -1 3 | 2.904 | 30.8 | 100.0 |
| 0 0 6 | 2.779 | 32.2 | 28.8 |
| 2 -1 6 | 2.153 | 42.0 | 41.2 |
| 3 0 0 | 1.966 | 46.2 | 38.8 |
| 1 1 9 | 1.628 | 56.5 | 38.5 |
| 0 3 6 | 1.605 | 57.4 | 25.1 |
| 2 2 6 | 1.452 | 64.1 | 9.0 |
| 2 -1 12 | 1.287 | 73.6 | 10.1 |
| 4 -2 9 | 1.254 | 75.9 | 20.5 |

---

# LaEr2US8
Calculated powder XRD pattern, λ = 1.5418 Å (Cu Kα). Input: a structure optimized by DFT (GGA-PBE).
Kinematic intensities with the Lorentz-polarization factor, no thermal factor.

Cell lengths 5.946, 6.168, 8.426 Å; angles 90.00, 90.05, 90.36 degrees
Space group P-1 (No. 2)
One atom of each set of equivalent atoms:
La  0.000  0.000  0.000 x1
Er  0.500  0.500  0.259 x2
U  0.000  0.000  0.500 x1
S  0.230  0.440  0.000 x2
S  0.247  0.346  0.500 x2
S  0.250  0.869  0.275 x2
S  0.250  0.870  0.726 x2

Principal peaks in the range 2θ from 10° to 80°, low angle first:
| hkl | d/Å | two_theta | I/Imax |
| --- | --- | --- | --- |
| 1 -1 0 | 4.294 | 20.7 | 77.3 |
| 1 1 0 | 4.267 | 20.8 | 85.3 |
| 0 1 2 | 3.479 | 25.6 | 51.4 |
| 1 0 2 | 3.438 | 25.9 | 100.0 |
| 0 2 0 | 3.084 | 29.0 | 38.8 |
| 1 -2 2 | 2.300 | 39.2 | 35.4 |
| 1 2 -2 | 2.291 | 39.3 | 31.5 |
| 2 -1 2 | 2.264 | 39.8 | 50.8 |
| 2 1 2 | 2.256 | 40.0 | 48.4 |
| 3 -1 0 | 1.890 | 48.1 | 46.9 |

---

# AsBrCl2
Calculated powder XRD pattern, λ = 1.5418 Å (Cu Kα). Input: a structure optimized by DFT (GGA-PBE).
Kinematic intensities with the Lorentz-polarization factor, no thermal factor.

Cell lengths 4.718, 6.476, 6.627 Å; angles 106.71, 106.06, 106.99 degrees
Space group P1 (No. 1)
One atom of each set of equivalent atoms:
As  0.000  0.000  0.000 x1
Br  0.646  0.104  0.755 x1
Cl  0.227  0.326  0.315 x1
Cl  0.654  0.777  0.097 x1

Principal peaks in the range 2θ from 10° to 80°, low angle first:
| hkl | d/Å | two_theta | I/Imax |
| --- | --- | --- | --- |
| 0 0 1 | 5.835 | 15.2 | 54.7 |
| 0 1 0 | 5.674 | 15.6 | 100.0 |
| 1 0 -1 | 4.266 | 20.8 | 90.8 |
| -1 1 1 | 3.629 | 24.5 | 41.7 |
| 0 1 1 | 3.437 | 25.9 | 48.4 |
| 1 -1 1 | 3.287 | 27.1 | 29.2 |
| 1 1 -1 | 3.225 | 27.7 | 32.5 |
| 1 -2 1 | 2.802 | 31.9 | 47.1 |
| 1 -2 2 | 2.239 | 40.3 | 22.4 |
| 2 -2 0 | 2.134 | 42.4 | 21.0 |

---

# Nd2Ga3Rh2
Calculated powder XRD pattern, λ = 1.5418 Å (Cu Kα). Input: a structure optimized by DFT (GGA-PBE).
Kinematic intensities with the Lorentz-polarization factor, no thermal factor.

Cell lengths 4.297, 18.769, 7.036 Å; angles 90.00, 90.00, 90.00 degrees
Space group Cmcm (No. 63)
One atom of each set of equivalent atoms:
Nd  0.000  0.058  0.250 x4
Nd  0.000  0.162  0.750 x4
Ga  0.000  0.219  0.250 x4
Ga  0.000  0.439  0.070 x8
Rh  0.000  0.308  0.546 x8

Principal peaks in the range 2θ from 10° to 80°, low angle first:
| hkl | d/Å | two_theta | I/Imax |
| --- | --- | --- | --- |
| 1 3 1 | 3.164 | 28.2 | 21.2 |
| 1 1 2 | 2.694 | 33.3 | 99.0 |
| 1 5 1 | 2.623 | 34.2 | 100.0 |
| 1 3 2 | 2.496 | 36.0 | 31.9 |
| 0 8 0 | 2.346 | 38.4 | 34.2 |
| 2 0 0 | 2.148 | 42.1 | 47.8 |
| 0 4 3 | 2.098 | 43.1 | 45.9 |
| 1 7 2 | 1.910 | 47.6 | 19.5 |
| 2 8 0 | 1.585 | 58.2 | 23.3 |
| 2 4 3 | 1.501 | 61.8 | 30.4 |

---

# Li2Pu3Se6
Calculated powder XRD pattern, λ = 1.5418 Å (Cu Kα). Input: a structure optimized by DFT (GGA-PBE).
Kinematic intensities with the Lorentz-polarization factor, no thermal factor.

Cell lengths 7.183, 12.439, 6.799 Å; angles 90.00, 110.57, 90.00 degrees
Space group C2/m (No. 12)
One atom of each set of equivalent atoms:
Li  0.000  0.168  0.000 x4
Pu  0.000  0.000  0.500 x2
Pu  0.000  0.335  0.500 x4
Se  0.246  0.000  0.252 x4
Se  0.246  0.169  0.746 x8

Principal peaks in the range 2θ from 10° to 80°, low angle first:
| hkl | d/Å | two_theta | I/Imax |
| --- | --- | --- | --- |
| 0 0 1 | 6.365 | 13.9 | 75.5 |
| 2 0 -1 | 3.529 | 25.2 | 56.1 |
| 1 3 1 | 2.870 | 31.2 | 100.0 |
| 1 3 -2 | 2.616 | 34.3 | 25.0 |
| 1 3 2 | 2.172 | 41.6 | 16.7 |
| 0 6 0 | 2.073 | 43.7 | 39.8 |
| 2 0 2 | 1.988 | 45.6 | 35.1 |
| 3 3 0 | 1.971 | 46.0 | 24.2 |
| 4 0 0 | 1.681 | 54.6 | 20.7 |
| 5 3 -3 | 1.306 | 72.4 | 18.0 |